Simulated PXRD pattern of RbPrSiTe4 for Cu Kα, from the PBE geometry in Alexandria.

Peak list (6 most intense, 10° ≤ 2θ ≤ 90°, in order of rising 2θ)
d (Å)	two_theta	intensity
3.483	25.6	693
3.367	26.5	748
3.334	26.7	1000
3.165	28.2	951
2.984	29.9	640
2.959	30.2	778

Crystal structure
a = 7.3254 Å, b = 7.5977 Å, c = 10.1599 Å
α = 90.00°, β = 108.32°, γ = 90.00°
Atoms (fractional coordinates):
Rb 0.2447 0.2500 0.0595
Rb 0.7553 0.7500 0.9405
Pr 0.2324 0.2500 0.5522
Pr 0.7676 0.7500 0.4478
Si 0.2135 0.7500 0.3252
Si 0.7865 0.2500 0.6748
Te 0.0158 0.5086 0.7149
Te 0.0158 0.9914 0.7149
Te 0.4096 0.7500 0.1626
Te 0.4164 0.7500 0.5766
Te 0.5836 0.2500 0.4234
Te 0.5904 0.2500 0.8374
Te 0.9842 0.0086 0.2851
Te 0.9842 0.4914 0.2851



Simulated PXRD pattern of RbPr4Te6 for Cu Kα, from the PBE geometry in Alexandria.

Peak list (6 most intense, 10° ≤ 2θ ≤ 90°, in order of rising 2θ)
d (Å)	two_theta	intensity
3.547	25.1	663
3.366	26.5	687
3.271	27.3	1000
3.131	28.5	913
2.332	38.6	610
2.240	40.3	536

Crystal structure
a = 7.9244 Å, b = 7.9244 Å, c = 24.0804 Å
α = 90.00°, β = 90.00°, γ = 146.32°
Atoms (fractional coordinates):
Rb 0.1609 0.8391 0.7500
Rb 0.8391 0.1609 0.2500
Pr 0.0942 0.9058 0.1304
Pr 0.0942 0.9058 0.3696
Pr 0.3660 0.6340 0.0405
Pr 0.3660 0.6340 0.4595
Pr 0.6340 0.3660 0.5405
Pr 0.6340 0.3660 0.9595
Pr 0.9058 0.0942 0.6304
Pr 0.9058 0.0942 0.8696
Te 0.0000 0.0000 0.0000
Te 0.0000 0.0000 0.5000
Te 0.1549 0.8451 0.2500
Te 0.2710 0.7290 0.5820
Te 0.2710 0.7290 0.9180
Te 0.4580 0.5420 0.1557
Te 0.4580 0.5420 0.3443
Te 0.5420 0.4580 0.6557
Te 0.5420 0.4580 0.8443
Te 0.7290 0.2710 0.0820
Te 0.7290 0.2710 0.4180
Te 0.8451 0.1549 0.7500



Simulated PXRD pattern of RbPr2Te4 for Cu Kα, from the PBE geometry in Alexandria.

Peak list (6 most intense, 10° ≤ 2θ ≤ 90°, in order of rising 2θ)
d (Å)	two_theta	intensity
7.740	11.4	230
3.681	24.2	211
3.035	29.4	1000
2.315	38.9	540
1.841	49.5	234
1.441	64.7	208

Crystal structure
a = 15.7082 Å, b = 15.7082 Å, c = 15.7082 Å
α = 16.95°, β = 16.95°, γ = 16.95°
Atoms (fractional coordinates):
Rb 0.0000 0.0000 0.0000
Pr 0.0962 0.0962 0.0962
Pr 0.9038 0.9038 0.9038
Te 0.2007 0.2007 0.2007
Te 0.3897 0.3897 0.3897
Te 0.6103 0.6103 0.6103
Te 0.7993 0.7993 0.7993



Simulated PXRD pattern of PrRe4Se7 for Cu Kα, from the PBE geometry in Alexandria.

Peak list (6 most intense, 10° ≤ 2θ ≤ 90°, in order of rising 2θ)
d (Å)	two_theta	intensity
4.570	19.4	460
3.882	22.9	463
2.561	35.0	902
2.316	38.9	738
2.232	40.4	676
2.087	43.4	1000

Crystal structure
a = 17.8474 Å, b = 5.3201 Å, c = 5.1219 Å
α = 90.00°, β = 90.00°, γ = 90.00°
Atoms (fractional coordinates):
Pr 0.0000 0.1328 0.0000
Pr 0.5000 0.8672 0.5000
Re 0.1413 0.6783 0.5560
Re 0.2431 0.6313 0.9582
Re 0.2569 0.3687 0.4582
Re 0.3587 0.3217 0.0560
Re 0.6413 0.3217 0.0560
Re 0.7431 0.3687 0.4582
Re 0.7569 0.6313 0.9582
Re 0.8587 0.6783 0.5560
Se 0.0000 0.8071 0.5073
Se 0.0992 0.6535 0.0147
Se 0.1214 0.2073 0.4656
Se 0.2365 0.1667 0.9130
Se 0.2635 0.8333 0.4130
Se 0.3786 0.7927 0.9656
Se 0.4008 0.3465 0.5147
Se 0.5000 0.1929 0.0073
Se 0.5992 0.3465 0.5147
Se 0.6214 0.7927 0.9656
Se 0.7365 0.8333 0.4130
Se 0.7635 0.1667 0.9130
Se 0.8786 0.2073 0.4656
Se 0.9008 0.6535 0.0147